Computed powder X-ray diffraction pattern
Compound: DyFe10Si2
Radiation: Cu Kα (λ = 1.5418 Å)
Structure: a cell relaxed with PBE
Kinematic intensities with the Lorentz-polarization factor, no thermal factor.

Atomic structure:
```
DyFe10Si2
1.0
-2.3720 4.1425 4.1710
2.3720 -4.1425 4.1710
2.3720 4.1425 -4.1710
Dy Fe Si
1 10 2
Cartesian
0.0000 0.0000 0.0000 Dy
1.1860 2.0712 -2.0855 Fe
1.1860 -2.0712 2.0855 Fe
2.3720 1.7341 0.0000 Fe
0.0000 2.9388 0.0000 Fe
0.0000 0.0000 3.0123 Fe
-1.1860 2.0712 2.0855 Fe
1.1860 2.0712 2.0855 Fe
0.0000 0.0000 5.3297 Fe
0.0000 5.3462 0.0000 Fe
0.0000 2.4084 4.1710 Fe
2.3720 0.0000 1.9585 Si
0.0000 4.1425 2.2125 Si
```

Largest 10 diffraction maxima, low angle first, 10 to 90 degrees two-theta:
d (Å), 2theta, intensity
2.936, 30.44, 26
2.923, 30.59, 23
2.399, 37.49, 22
2.387, 37.69, 48
2.085, 43.39, 31
2.074, 43.65, 100
2.071, 43.70, 26
2.061, 43.94, 90
1.846, 49.37, 19
1.304, 72.48, 21